# 1
UAg2AuSe4: simulated powder XRD pattern (Cu Kα), based on a cell relaxed with PBE.
Lines closer than 0.1° are merged.

a = 5.6400 Å, b = 9.1954 Å, c = 8.2983 Å
α = 90.00°, β = 90.00°, γ = 90.00°
Space group Pmmn (No. 59, origin choice 2)
Unique sites:
U (0.2500, 0.2500, 0.1636) [2 per cell]
Ag (0.2500, 0.5060, 0.6619) [4 per cell]
Au (0.2500, 0.7500, 0.1468) [2 per cell]
Se (0.2500, 0.2500, 0.8318) [2 per cell]
Se (0.2500, 0.5090, 0.3316) [4 per cell]
Se (0.2500, 0.7500, 0.8357) [2 per cell]

The 12 most intense peaks (2θ from 10° to 90°), in order of falling intensity:
Position (°2θ)	I/Imax	h k l
22.10	100	0 2 1
37.96	86	0 2 3
50.29	76	2 2 3
31.73	72	2 0 0
39.01	46	2 2 1
79.06	40	4 2 3
39.19	40	0 4 0
51.27	37	2 4 0
21.42	37	0 0 2
27.23	32	1 2 1
26.67	24	1 0 2
38.60	16	2 0 2

# 2
Hg17H12: simulated powder XRD pattern (Cu Kα), based on a cell relaxed with PBE.
Lines closer than 0.1° are merged.

a = 10.0277 Å, b = 10.1465 Å, c = 12.0392 Å
α = 90.00°, β = 90.00°, γ = 90.00°
Space group I222 (No. 23)
Unique sites:
Hg (0.0000, 0.0000, 0.0000) [2 per cell]
Hg (0.0495, 0.2193, 0.1796) [8 per cell]
Hg (0.1233, 0.2976, 0.5915) [8 per cell]
Hg (0.2227, 0.0824, 0.8673) [8 per cell]
Hg (0.2501, 0.0608, 0.3797) [8 per cell]
H (0.0881, 0.0217, 0.3693) [8 per cell]
H (0.0879, 0.3979, 0.8914) [8 per cell]
H (0.1544, 0.3395, 0.2726) [8 per cell]

The 12 most intense peaks (2θ from 10° to 90°), in order of falling intensity:
Position (°2θ)	I/Imax	h k l
31.63	100	1 3 2
31.87	61	3 1 2
29.71	47	0 0 4
24.97	39	2 2 0
39.17	28	2 2 4
29.85	24	2 1 3
34.76	22	2 0 4
11.41	19	0 1 1
29.10	16	2 2 2
53.90	16	1 3 6
66.11	14	1 5 6
40.12	14	4 2 0

# 3
Ce2RuRh3: simulated powder XRD pattern (Cu Kα), based on a cell relaxed with PBE.
Lines closer than 0.1° are merged.

a = 9.2910 Å, b = 9.2910 Å, c = 10.8408 Å
α = 90.00°, β = 90.00°, γ = 90.00°
Space group I4_1/amd (No. 141, origin choice 2)
Unique sites:
Ce (0.0000, 0.0584, 0.2405) [16 per cell]
Ru (0.0000, 0.2500, 0.7598) [8 per cell]
Rh (0.0000, 0.0000, 0.5000) [8 per cell]
Rh (0.2131, 0.0369, 0.8750) [16 per cell]

The 12 most intense peaks (2θ from 10° to 90°), in order of falling intensity:
Position (°2θ)	I/Imax	h k l
35.82	100	3 2 1
38.77	50	4 0 0
38.45	45	2 0 4
43.28	43	2 2 4
25.25	23	2 0 2
55.62	21	5 0 3
26.47	17	1 0 3
38.28	14	3 0 3
71.01	14	3 2 7
43.12	14	3 2 3
51.45	13	3 0 5
32.85	12	2 1 3

# 4
Ca2ZnCd6Cu: simulated powder XRD pattern (Cu Kα), based on a cell relaxed with PBE.
Lines closer than 0.1° are merged.

a = 7.0062 Å, b = 7.0062 Å, c = 34.4929 Å
α = 90.00°, β = 90.00°, γ = 120.00°
Space group R-3m (No. 166, hexagonal axes)
Unique sites:
Ca (0.0000, 0.0000, 0.1109) [6 per cell]
Ca (0.0000, 0.0000, 0.2840) [6 per cell]
Zn (0.0000, 0.0000, 0.4279) [6 per cell]
Cd (0.0385, 0.5193, 0.2978) [18 per cell]
Cd (0.0574, 0.5287, 0.8662) [18 per cell]
Cu (0.0000, 0.0000, 0.0000) [3 per cell]
Cu (0.0000, 0.0000, 0.5000) [3 per cell]

The 12 most intense peaks (2θ from 10° to 90°), in order of falling intensity:
Position (°2θ)	I/Imax	h k l
34.72	100	0 2 7
32.23	65	2 0 5
39.63	56	1 2 2
19.48	43	0 1 5
52.22	34	2 2 0
47.53	27	2 0 14
31.11	26	0 0 12
15.44	23	0 0 6
51.06	18	3 0 9
29.90	16	2 0 2
41.41	14	2 0 11
40.71	14	2 1 4